Co3H18C8N6O8: theoretical X-ray diffraction stick pattern (Cu Kα), based on the PBE+U geometry in OQMD.

Peak list (10 most intense, 10 to 90 degrees two-theta, sorted by position)
Position (°2θ), d/Å, I (rel.)
14.9, 5.937, 27
15.1, 5.871, 19
19.7, 4.508, 100
24.8, 3.590, 75
27.5, 3.241, 38
31.9, 2.801, 28
34.5, 2.602, 38
39.7, 2.272, 20
51.4, 1.777, 20
53.8, 1.704, 20

Cell and atoms:
Cell: 7.896 7.896 7.896 Å, 69.63 69.63 69.63°
Element x y z (fractional)
Co (0.000, 0.000, 0.000)
Co (0.375, 0.375, 0.375)
Co (0.625, 0.625, 0.625)
H (0.047, 0.711, 0.875)
H (0.080, 0.092, 0.631)
H (0.092, 0.631, 0.080)
H (0.107, 0.749, 0.297)
H (0.125, 0.953, 0.289)
H (0.251, 0.703, 0.893)
H (0.289, 0.125, 0.953)
H (0.297, 0.107, 0.749)
H (0.369, 0.920, 0.908)
H (0.631, 0.080, 0.092)
H (0.703, 0.893, 0.251)
H (0.711, 0.875, 0.047)
H (0.749, 0.297, 0.107)
H (0.875, 0.047, 0.711)
H (0.893, 0.251, 0.703)
H (0.908, 0.369, 0.920)
H (0.920, 0.908, 0.369)
H (0.953, 0.289, 0.125)
C (0.221, 0.445, 0.570)
C (0.277, 0.277, 0.277)
C (0.430, 0.779, 0.555)
C (0.445, 0.570, 0.221)
C (0.555, 0.430, 0.779)
C (0.570, 0.221, 0.445)
C (0.723, 0.723, 0.723)
C (0.779, 0.555, 0.430)
N (0.043, 0.890, 0.268)
N (0.110, 0.732, 0.957)
N (0.268, 0.043, 0.890)
N (0.732, 0.957, 0.110)
N (0.890, 0.268, 0.043)
N (0.957, 0.110, 0.732)
O (0.125, 0.490, 0.707)
O (0.211, 0.211, 0.211)
O (0.293, 0.875, 0.510)
O (0.490, 0.707, 0.125)
O (0.510, 0.293, 0.875)
O (0.707, 0.125, 0.490)
O (0.789, 0.789, 0.789)
O (0.875, 0.510, 0.293)